Entry 1:
The following is a theoretical powder diffractogram of NaLi6Ag. It was derived from a PBE-relaxed structure, using copper Kα.

Structure:
```
NaLi6Ag
1.0
4.873 0.000 0.000
0.000 6.112 0.000
0.000 0.000 10.556
Na Li Ag
2 12 2
Cartesian
0.000 0.000 0.000
0.000 3.056 5.278
0.000 0.000 5.363
0.000 1.456 7.876
0.000 1.601 2.598
0.000 3.056 0.085
0.000 4.512 2.598
0.000 4.657 7.876
2.436 0.000 1.861
2.436 1.456 4.375
2.436 1.601 9.652
2.436 3.056 7.139
2.436 4.512 9.652
2.436 4.657 4.375
2.436 0.000 7.049
2.436 3.056 1.771
```

Top 8 peaks for 2θ = 5–70°, in order of falling intensity:
d [Å]	two_theta	I (rel.)
3.583	24.85	100
5.286	16.77	91
2.323	38.76	51
3.052	29.27	39
2.586	34.68	23
2.643	33.92	21
1.849	49.27	20
4.873	18.21	19

=====

Entry 2:
The following is a theoretical powder diffractogram of K2PdW2. It was derived from a PBE-relaxed structure, using copper Kα.

Structure:
```
K2PdW2
1.0
10.207 0.000 0.000
0.000 10.207 0.000
0.000 0.000 2.727
K Pd W
4 2 4
Cartesian
2.124 2.980 0.000
2.980 8.083 0.000
7.228 2.124 0.000
8.083 7.228 0.000
0.000 0.000 1.364
5.104 5.104 1.364
0.813 5.916 1.364
4.291 0.813 1.364
5.916 9.395 1.364
9.395 4.291 1.364
```

Top 8 peaks for 2θ = 5–70°, in order of falling intensity:
d [Å]	two_theta	I (rel.)
7.218	12.26	100
5.104	17.38	83
2.831	31.60	81
2.405	37.39	66
3.609	24.67	53
1.614	57.07	41
1.634	56.29	40
1.964	46.22	40

=====

Entry 3:
The following is a theoretical powder diffractogram of Cu4GePb2. It was derived from a PBE-relaxed structure, using copper Kα.

Structure:
```
Cu4GePb2
1.0
4.556 0.000 0.000
0.000 4.556 0.000
0.000 0.000 14.310
Cu Ge Pb
8 2 4
Cartesian
0.000 0.000 2.363
0.000 0.000 11.948
0.000 2.278 0.000
0.000 2.278 7.155
2.278 0.000 0.000
2.278 0.000 7.155
2.278 2.278 4.793
2.278 2.278 9.518
0.000 0.000 0.000
2.278 2.278 7.155
0.000 0.000 5.048
0.000 0.000 9.262
2.278 2.278 2.107
2.278 2.278 12.203
```

Top 8 peaks for 2θ = 5–70°, in order of falling intensity:
d [Å]	two_theta	I (rel.)
3.222	27.69	100
2.278	39.56	97
2.394	37.57	91
3.295	27.06	91
1.647	55.81	52
2.385	37.72	41
2.938	30.43	40
1.874	48.59	39

=====

Entry 4:
The following is a theoretical powder diffractogram of Nb2In2PdS6. It was derived from a PBE-relaxed structure, using copper Kα.

Structure:
```
Nb2In2PdS6
1.0
3.033 -5.587 0.000
3.033 5.587 0.000
-1.768 0.000 6.983
Nb In Pd S
2 2 1 6
Cartesian
3.033 4.017 0.000
3.033 -4.017 0.000
2.149 1.914 3.491
2.149 -1.914 3.491
3.033 0.000 0.000
0.198 2.094 5.557
1.071 0.000 1.532
0.198 -2.094 5.557
4.100 2.094 1.425
3.227 0.000 5.451
4.100 -2.094 1.425
```

Top 8 peaks for 2θ = 5–70°, in order of falling intensity:
d [Å]	two_theta	I (rel.)
2.737	32.72	100
2.583	34.73	46
2.001	45.32	35
3.021	29.57	28
1.776	51.45	27
3.491	25.51	25
4.363	20.36	24
2.018	44.91	20

=====

Entry 5:
The following is a theoretical powder diffractogram of Ac8Ni5. It was derived from a PBE-relaxed structure, using copper Kα.

Structure:
```
Ac8Ni5
1.0
6.799 -4.290 0.000
6.799 4.290 0.000
-6.796 0.000 7.464
Ac Ni
8 5
Cartesian
1.516 0.000 1.272
1.645 2.143 4.967
-1.657 0.000 6.209
5.157 2.143 2.497
1.645 -2.143 4.967
8.459 0.000 1.256
5.157 -2.143 2.497
5.286 0.000 6.192
-3.398 0.000 3.732
-0.074 0.000 3.738
6.799 2.145 0.000
6.799 -2.145 0.000
6.877 0.000 3.726
```

Top 8 peaks for 2θ = 5–70°, in order of falling intensity:
d [Å]	two_theta	I (rel.)
3.266	27.31	100
2.511	35.76	32
1.936	46.93	23
2.152	41.98	20
3.400	26.21	16
1.794	50.91	12
1.818	50.17	11
2.145	42.13	10

=====

Entry 6:
The following is a theoretical powder diffractogram of Tm6Tc2Sn. It was derived from a PBE-relaxed structure, using copper Kα.

Structure:
```
Tm6Tc2Sn
1.0
-4.669 4.710 5.194
4.669 -4.710 5.194
4.669 4.710 -5.194
Tm Tc Sn
12 4 2
Cartesian
4.669 2.747 -2.648
2.624 1.756 0.000
6.715 1.756 0.000
1.735 4.710 -1.715
2.934 0.000 3.479
0.000 1.963 2.546
4.669 2.747 2.648
1.735 4.710 1.715
2.934 0.000 6.909
-2.045 2.954 5.194
2.045 2.954 5.194
0.000 1.963 7.842
4.669 0.000 1.208
0.000 3.077 0.000
0.000 6.342 0.000
0.000 4.710 3.986
0.000 0.000 0.000
0.000 0.000 5.194
```

Top 8 peaks for 2θ = 5–70°, in order of falling intensity:
d [Å]	two_theta	I (rel.)
2.795	32.02	100
2.582	34.74	55
2.527	35.52	52
2.667	33.60	40
2.274	39.64	36
2.519	35.64	29
1.534	60.36	25
2.335	38.56	25

=====

Entry 7:
The following is a theoretical powder diffractogram of PrBP2O8. It was derived from a PBE-relaxed structure, using copper Kα.

Structure:
```
PrBP2O8
1.0
4.879 0.000 0.000
-2.439 4.225 0.000
0.000 0.000 6.435
Pr B P O
1 1 2 8
Cartesian
0.000 0.000 0.000
0.000 0.000 3.218
0.000 2.817 1.747
2.439 1.408 4.688
0.000 1.337 2.173
-1.281 3.557 2.173
1.158 0.669 4.263
0.000 2.817 0.197
2.439 1.408 6.238
1.281 3.557 2.173
3.721 0.669 4.263
2.439 2.888 4.263
```

Top 8 peaks for 2θ = 5–70°, in order of falling intensity:
d [Å]	two_theta	I (rel.)
3.532	25.21	100
4.225	21.03	66
2.560	35.05	56
2.281	39.51	50
2.439	36.84	45
6.435	13.76	36
1.766	51.77	28
2.007	45.17	25

=====

Entry 8:
The following is a theoretical powder diffractogram of Tb4NdY4. It was derived from a PBE-relaxed structure, using copper Kα.

Structure:
```
Tb4NdY4
1.0
-5.372 5.372 2.527
5.372 -5.372 2.527
5.372 5.372 -2.527
Tb Nd Y
4 1 4
Cartesian
3.596 0.000 0.000
7.147 0.000 0.000
0.000 3.596 0.000
0.000 7.147 0.000
0.000 0.000 0.000
3.575 3.575 0.000
1.796 -1.796 2.527
-1.796 1.796 2.527
1.796 1.796 2.527
```

Top 8 peaks for 2θ = 5–70°, in order of falling intensity:
d [Å]	two_theta	I (rel.)
2.922	30.60	100
2.531	35.47	50
1.789	51.04	36
1.527	60.66	28
1.524	60.76	14
1.461	63.70	12
4.573	19.41	3
7.597	11.65	2